For Mg6Si5, a cell relaxed with GGA-PBE gives the theoretical XRD peak list in this record (Cu Kα (λ = 1.5418 Å)).
No peak broadening, texture or thermal motion is included.

Structural model:
```
Mg6Si5
1.0
5.3787 0.0000 0.0000
-0.4782 5.8287 0.0000
-1.9319 -2.4370 13.6514
Mg Si
12 10
Cartesian
0.0000 0.0000 0.0000
-1.3235 1.3158 8.3774
-0.0899 -1.5375 9.3596
1.0643 2.7723 7.1523
1.5437 -0.0921 6.3682
2.3687 3.8187 0.2015
2.6482 1.0781 1.8688
1.8578 2.8987 10.7652
3.2491 4.0360 3.3130
3.0404 0.0932 11.8047
4.1027 1.3276 5.1262
3.7422 4.2018 6.4976
-0.1064 0.7887 2.6804
-0.9275 2.5679 11.4766
0.3382 3.8383 4.6032
0.6946 4.5057 2.3139
0.3449 0.5142 11.2206
1.4783 1.7802 4.3061
0.7748 -1.5261 12.7123
1.3898 0.8325 9.0383
2.6807 -1.1396 8.7521
4.8877 2.7481 1.0858
```

Top 8 peaks for 5 to 70 degrees two-theta, sorted by position:
| index | 2θ/deg | I (rel.) |
| --- | --- | --- |
| 0 1 4 | 32.81 | 96 |
| 1 -1 4 | 34.00 | 86 |
| 2 0 -2 | 34.39 | 75 |
| 1 -2 2 | 35.35 | 41 |
| 1 2 -2 | 36.63 | 67 |
| 2 1 0 | 38.94 | 41 |
| 1 1 -6 | 41.76 | 100 |
| 2 1 2 | 43.83 | 65 |